[1]
HoAgAu: simulated XRD peak list (a wavelength of 1.5418 Å), based on DFT lattice parameters and positions (PBE).
Kinematic intensities with the Lorentz-polarization factor, no thermal factor.

Structural model:
```
data_HoAgAu
_chemical_formula_sum 'Ho2 Ag2 Au2'
_cell_length_a 3.7189
_cell_length_b 3.7189
_cell_length_c 9.1073
_cell_angle_alpha 90.00
_cell_angle_beta 90.00
_cell_angle_gamma 90.00
_space_group_name_H-M_alt 'P 4/m m m'
_space_group_IT_number 123
_space_group_name_Hall '-P 4 2'
loop_
_atom_site_label
_atom_site_fract_x
_atom_site_fract_y
_atom_site_fract_z
Ho1 0.0000 0.0000 0.0000
Ho2 0.5000 0.5000 0.5000
Ag1 0.0000 0.0000 0.3326
Au1 0.5000 0.5000 0.1666
```

Largest 12 diffraction maxima, low angle first, 10 to 80 degrees two-theta:
| 2θ (°) | I (rel.) | index |
| --- | --- | --- |
| 23.93 | 5 | 1 0 0 |
| 29.42 | 2 | 0 0 3 |
| 31.05 | 1 | 1 0 2 |
| 34.09 | 68 | 1 1 0 |
| 38.27 | 100 | 1 0 3 |
| 45.64 | 2 | 1 1 3 |
| 48.99 | 25 | 2 0 0 |
| 55.23 | 1 | 2 1 0 |
| 58.18 | 1 | 2 0 3 |
| 61.05 | 6 | 0 0 6 |
| 63.81 | 44 | 2 1 3 |
| 71.80 | 24 | 2 2 0 |

=====

[2]
Ho2AgAu3: simulated XRD peak list (a wavelength of 1.5418 Å), based on DFT lattice parameters and positions (PBE).
Kinematic intensities with the Lorentz-polarization factor, no thermal factor.

Structural model:
```
data_Ho2AgAu3
_chemical_formula_sum 'Ho2 Ag1 Au3'
_cell_length_a 3.7271
_cell_length_b 3.7271
_cell_length_c 9.1083
_cell_angle_alpha 90.00
_cell_angle_beta 90.00
_cell_angle_gamma 90.00
_space_group_name_H-M_alt 'P 4 m m'
_space_group_IT_number 99
loop_
_space_group_symop_operation_xyz
'x,y,z'
'-y,x,z'
'-x,-y,z'
'y,-x,z'
'-x,y,z'
'y,x,z'
'x,-y,z'
'-y,-x,z'
loop_
_atom_site_label
_atom_site_fract_x
_atom_site_fract_y
_atom_site_fract_z
Ho1 0.0000 0.0000 0.0000
Ho2 0.5000 0.5000 0.4906
Ag1 0.0000 0.0000 0.6681
Au1 0.0000 0.0000 0.3372
Au2 0.5000 0.5000 0.1600
Au3 0.5000 0.5000 0.8288
```

Largest 12 diffraction maxima, low angle first, 10 to 80 degrees two-theta:
| 2θ (°) | I (rel.) | index |
| --- | --- | --- |
| 19.49 | 1 | 0 0 2 |
| 23.87 | 1 | 1 0 0 |
| 25.83 | 1 | 1 0 1 |
| 31.01 | 1 | 1 0 2 |
| 34.02 | 69 | 1 1 0 |
| 38.23 | 100 | 1 0 3 |
| 45.58 | 1 | 1 1 3 |
| 48.87 | 25 | 2 0 0 |
| 61.04 | 6 | 0 0 6 |
| 63.69 | 45 | 2 1 3 |
| 71.61 | 8 | 2 2 0 |
| 71.76 | 16 | 1 1 6 |

=====

[3]
Rb2AgAu3I8: simulated XRD peak list (a wavelength of 1.5418 Å), based on DFT lattice parameters and positions (PBE).
Kinematic intensities with the Lorentz-polarization factor, no thermal factor.

Structural model:
```
data_Rb2AgAu3I8
_chemical_formula_sum 'Rb8 Ag4 Au12 I32'
_cell_length_a 13.6689
_cell_length_b 7.6724
_cell_length_c 21.7027
_cell_angle_alpha 90.00
_cell_angle_beta 101.93
_cell_angle_gamma 90.00
_space_group_name_H-M_alt 'C 1 2/c 1'
_space_group_IT_number 15
loop_
_space_group_symop_operation_xyz
'x,y,z'
'-x,-y,-z'
'-x,y,-z+1/2'
'x,-y,z+1/2'
'x+1/2,y+1/2,z'
'-x+1/2,-y+1/2,-z'
'-x+1/2,y+1/2,-z+1/2'
'x+1/2,-y+1/2,z+1/2'
loop_
_atom_site_label
_atom_site_fract_x
_atom_site_fract_y
_atom_site_fract_z
Rb1 0.2035 0.0293 0.0943
Ag1 0.0000 0.4870 0.7500
Au1 0.0000 0.5000 0.0000
Au2 0.0961 0.0033 0.8021
I1 0.0366 0.2712 0.3551
I2 0.0499 0.2228 0.9364
I3 0.1701 0.2663 0.7501
I4 0.1911 0.4682 0.5620
```

Largest 12 diffraction maxima, low angle first, 10 to 80 degrees two-theta:
| 2θ (°) | I (rel.) | index |
| --- | --- | --- |
| 13.24 | 29 | 2 0 0 |
| 14.97 | 59 | 1 1 -2 |
| 19.08 | 27 | 2 0 -4 |
| 23.66 | 30 | 1 1 -5 |
| 24.22 | 38 | 3 1 -3 |
| 26.01 | 42 | 1 1 5 |
| 29.63 | 46 | 4 0 2 |
| 30.20 | 100 | 2 2 -4 |
| 31.05 | 24 | 3 1 4 |
| 35.55 | 20 | 5 1 0 |
| 46.35 | 36 | 6 2 -2 |
| 47.40 | 20 | 0 4 0 |